Na2TbZnGe2: calculated powder diffraction line list (a wavelength of 1.5418 Å), based on a cell relaxed with PBE.
Peak positions follow from Bragg's law for the DFT cell and can differ from measured ones.

Most intense lines, 2θ from 5° to 70°, by angle:
hkl 0 1 0, 10.41 deg, rel. 1000
hkl 1 2 1, 31.71 deg, rel. 229
hkl 0 2 2, 32.51 deg, rel. 216
hkl 1 1 2, 33.70 deg, rel. 604
hkl 0 3 1, 33.99 deg, rel. 133
hkl 1 3 0, 37.70 deg, rel. 300
hkl 1 2 2, 38.50 deg, rel. 220
hkl 2 0 0, 40.78 deg, rel. 225
hkl 2 2 2, 53.10 deg, rel. 107
hkl 1 4 3, 61.88 deg, rel. 106

Structural model:
Lattice parameters (Å, degrees): 4.4253 8.4984 7.2317 90.00 90.00 90.00
Space group Pmc2_1 (No. 26)
One atom of each set of equivalent atoms:
Na: 0.0000 0.0858 0.0000 (multiplicity 2)
Na: 0.5000 0.1519 0.3192 (multiplicity 2)
Tb: 0.5000 0.4626 0.9860 (multiplicity 2)
Zn: 0.0000 0.3137 0.6323 (multiplicity 2)
Ge: 0.0000 0.3900 0.2657 (multiplicity 2)
Ge: 0.5000 0.1913 0.7254 (multiplicity 2)

=====

Na3Y3GeTe8: calculated powder diffraction line list (a wavelength of 1.5418 Å), based on a cell relaxed with PBE.
Peak positions follow from Bragg's law for the DFT cell and can differ from measured ones.

Most intense lines, 2θ from 5° to 70°, by angle:
hkl 0 0 1, 11.45 deg, rel. 276
hkl 2 2 0, 24.95 deg, rel. 221
hkl 4 0 0, 28.34 deg, rel. 1000
hkl 2 2 -3, 36.18 deg, rel. 110
hkl 2 2 2, 39.29 deg, rel. 370
hkl 0 4 0, 41.70 deg, rel. 352
hkl 4 4 0, 51.22 deg, rel. 122
hkl 8 0 0, 58.62 deg, rel. 109
hkl 0 4 4, 64.63 deg, rel. 90
hkl 10 2 -2, 68.07 deg, rel. 149

Structural model:
Lattice parameters (Å, degrees): 15.0192 8.6571 9.2151 90.00 123.01 90.00
Space group C2/m (No. 12)
One atom of each set of equivalent atoms:
Na: 0.0000 0.0000 0.0000 (multiplicity 2)
Na: 0.2500 0.2500 0.0000 (multiplicity 4)
Y: 0.0000 0.5000 0.5000 (multiplicity 2)
Y: 0.2500 0.2500 0.5000 (multiplicity 4)
Ge: 0.0000 0.0000 0.5000 (multiplicity 2)
Te: 0.0059 0.2386 0.2791 (multiplicity 8)
Te: 0.2327 0.0000 0.7207 (multiplicity 4)
Te: 0.2448 0.5000 0.7341 (multiplicity 4)

=====

NaTiGe: calculated powder diffraction line list (a wavelength of 1.5418 Å), based on a cell relaxed with PBE.
Peak positions follow from Bragg's law for the DFT cell and can differ from measured ones.

Most intense lines, 2θ from 5° to 70°, by angle:
hkl 0 0 3, 10.46 deg, rel. 800
hkl 0 0 6, 21.00 deg, rel. 243
hkl 1 0 1, 23.92 deg, rel. 693
hkl 1 0 4, 27.57 deg, rel. 620
hkl 1 0 7, 34.36 deg, rel. 621
hkl 1 1 0, 41.59 deg, rel. 1000
hkl 1 0 10, 43.00 deg, rel. 716
hkl 0 1 11, 46.16 deg, rel. 275
hkl 1 1 9, 53.24 deg, rel. 184
hkl 0 2 10, 61.36 deg, rel. 192

Structural model:
Lattice parameters (Å, degrees): 4.3432 4.3432 25.3775 90.00 90.00 120.00
Space group R-3m (No. 166, hexagonal axes)
One atom of each set of equivalent atoms:
Na: 0.0000 0.0000 0.1274 (multiplicity 6)
Ti: 0.0000 0.0000 0.2970 (multiplicity 6)
Ge: 0.0000 0.0000 0.4013 (multiplicity 6)

=====

NaTlGe: calculated powder diffraction line list (a wavelength of 1.5418 Å), based on a cell relaxed with PBE.
Peak positions follow from Bragg's law for the DFT cell and can differ from measured ones.

Most intense lines, 2θ from 5° to 70°, by angle:
hkl 0 1 0, 14.44 deg, rel. 616
hkl 0 1 -1, 14.86 deg, rel. 348
hkl 0 1 1, 23.05 deg, rel. 321
hkl 0 1 -2, 23.85 deg, rel. 297
hkl 0 2 -1, 26.50 deg, rel. 269
hkl 1 -1 0, 29.09 deg, rel. 437
hkl 0 2 -2, 29.98 deg, rel. 249
hkl 1 0 1, 32.45 deg, rel. 1000
hkl 1 2 -1, 37.74 deg, rel. 321
hkl 0 0 3, 39.23 deg, rel. 263

Structural model:
Lattice parameters (Å, degrees): 3.4519 6.7312 7.7553 113.70 102.83 90.02
Space group P-1 (No. 2)
One atom of each set of equivalent atoms:
Na: 0.1232 0.1116 0.2472 (multiplicity 2)
Tl: 0.1657 0.6525 0.3324 (multiplicity 2)
Ge: 0.4989 0.6887 0.9980 (multiplicity 2)

=====

Na4TlGe: calculated powder diffraction line list (a wavelength of 1.5418 Å), based on a cell relaxed with PBE.
Peak positions follow from Bragg's law for the DFT cell and can differ from measured ones.

Most intense lines, 2θ from 5° to 70°, by angle:
hkl 0 0 1, 7.14 deg, rel. 353
hkl 0 2 1, 18.37 deg, rel. 1000
hkl 1 1 0, 19.59 deg, rel. 605
hkl 1 1 -1, 19.70 deg, rel. 658
hkl 0 0 3, 21.52 deg, rel. 334
hkl 1 3 0, 31.19 deg, rel. 1000
hkl 1 1 3, 31.67 deg, rel. 469
hkl 1 1 -4, 32.16 deg, rel. 492
hkl 0 2 4, 33.61 deg, rel. 688
hkl 2 2 -1, 39.21 deg, rel. 316

Structural model:
Lattice parameters (Å, degrees): 5.1130 10.4916 12.6058 90.00 100.70 90.00
Space group C2/m (No. 12)
One atom of each set of equivalent atoms:
Na: 0.0000 0.1562 0.0000 (multiplicity 4)
Na: 0.1339 0.1614 0.2686 (multiplicity 8)
Na: 0.1929 0.5000 0.4023 (multiplicity 4)
Tl: 0.0654 0.5000 0.1302 (multiplicity 4)
Ge: 0.0000 0.2397 0.5000 (multiplicity 4)

=====

Na2Zn3Ge: calculated powder diffraction line list (a wavelength of 1.5418 Å), based on a cell relaxed with PBE.
Peak positions follow from Bragg's law for the DFT cell and can differ from measured ones.

Most intense lines, 2θ from 5° to 70°, by angle:
hkl 0 0 1, 19.08 deg, rel. 294
hkl 2 0 -1, 20.11 deg, rel. 932
hkl 2 0 1, 37.58 deg, rel. 480
hkl 0 2 1, 38.61 deg, rel. 307
hkl 0 0 2, 38.73 deg, rel. 1000
hkl 2 2 -1, 39.18 deg, rel. 265
hkl 2 2 0, 40.82 deg, rel. 656
hkl 4 0 -2, 40.98 deg, rel. 323
hkl 2 2 -2, 46.87 deg, rel. 304
hkl 2 2 2, 67.05 deg, rel. 285

Structural model:
Lattice parameters (Å, degrees): 9.2826 5.3909 5.5877 90.00 123.65 90.00
Space group C2/m (No. 12)
One atom of each set of equivalent atoms:
Na: 0.1265 0.0000 0.3802 (multiplicity 4)
Zn: 0.0000 0.5000 0.0000 (multiplicity 2)
Zn: 0.2500 0.2500 0.0000 (multiplicity 4)
Ge: 0.0000 0.5000 0.5000 (multiplicity 2)

=====

NaZrGe2: calculated powder diffraction line list (a wavelength of 1.5418 Å), based on a cell relaxed with PBE.
Peak positions follow from Bragg's law for the DFT cell and can differ from measured ones.

Most intense lines, 2θ from 5° to 70°, by angle:
hkl 0 1 0, 10.51 deg, rel. 928
hkl 0 1 1, 19.51 deg, rel. 208
hkl 1 1 1, 30.79 deg, rel. 185
hkl 1 2 0, 31.86 deg, rel. 374
hkl 0 1 2, 34.86 deg, rel. 287
hkl 1 2 1, 36.04 deg, rel. 1000
hkl 1 1 2, 42.52 deg, rel. 544
hkl 1 3 1, 43.55 deg, rel. 181
hkl 0 4 1, 46.29 deg, rel. 203
hkl 2 0 0, 48.26 deg, rel. 205

Structural model:
Lattice parameters (Å, degrees): 3.7718 8.4180 5.4063 90.00 90.00 90.00
Space group Pmn2_1 (No. 31)
One atom of each set of equivalent atoms:
Na: 0.0000 0.0607 0.0000 (multiplicity 2)
Zr: 0.0000 0.5580 0.2625 (multiplicity 2)
Ge: 0.0000 0.2373 0.5233 (multiplicity 2)
Ge: 0.0000 0.6920 0.7250 (multiplicity 2)

=====

NbGe: calculated powder diffraction line list (a wavelength of 1.5418 Å), based on a cell relaxed with PBE.
Peak positions follow from Bragg's law for the DFT cell and can differ from measured ones.

Most intense lines, 2θ from 5° to 70°, by angle:
hkl 1 1 1, 35.72 deg, rel. 164
hkl 0 0 2, 37.57 deg, rel. 986
hkl 1 1 0, 38.17 deg, rel. 829
hkl 1 -1 1, 38.51 deg, rel. 815
hkl 0 2 1, 38.99 deg, rel. 1000
hkl 1 1 2, 42.79 deg, rel. 640
hkl -1 1 1, 42.96 deg, rel. 636
hkl 0 2 -1, 47.66 deg, rel. 430
hkl 0 2 3, 62.22 deg, rel. 270
hkl 2 0 1, 62.33 deg, rel. 232

Structural model:
Lattice parameters (Å, degrees): 2.9795 4.7610 5.1547 76.42 73.22 89.48
Space group P-1 (No. 2)
One atom of each set of equivalent atoms:
Nb: 0.1113 0.3077 0.2757 (multiplicity 2)
Ge: 0.3689 0.1837 0.7630 (multiplicity 2)

=====

Nb5Ge4: calculated powder diffraction line list (a wavelength of 1.5418 Å), based on a cell relaxed with PBE.
Peak positions follow from Bragg's law for the DFT cell and can differ from measured ones.

Most intense lines, 2θ from 5° to 70°, by angle:
hkl 1 3 2, 35.73 deg, rel. 1000
hkl 2 3 1, 35.91 deg, rel. 828
hkl 0 4 2, 37.80 deg, rel. 363
hkl 2 1 2, 37.98 deg, rel. 320
hkl 1 5 1, 38.83 deg, rel. 330
hkl 1 4 2, 40.16 deg, rel. 287
hkl 2 4 1, 40.33 deg, rel. 448
hkl 0 6 0, 40.94 deg, rel. 299
hkl 3 0 1, 42.14 deg, rel. 670
hkl 1 1 3, 42.29 deg, rel. 544

Structural model:
Lattice parameters (Å, degrees): 6.7730 13.2273 6.8559 90.00 90.00 90.00
Space group Pnma (No. 62)
One atom of each set of equivalent atoms:
Nb: 0.0197 0.0862 0.1753 (multiplicity 8)
Nb: 0.1548 0.6242 0.3362 (multiplicity 8)
Nb: 0.1705 0.2500 0.5076 (multiplicity 4)
Ge: 0.0443 0.2500 0.8962 (multiplicity 4)
Ge: 0.1828 0.7500 0.6602 (multiplicity 4)
Ge: 0.1894 0.0412 0.5349 (multiplicity 8)

=====

Nd2NbGe3: calculated powder diffraction line list (a wavelength of 1.5418 Å), based on a cell relaxed with PBE.
Peak positions follow from Bragg's law for the DFT cell and can differ from measured ones.

Most intense lines, 2θ from 5° to 70°, by angle:
hkl 0 1 3, 26.73 deg, rel. 79
hkl 1 1 0, 26.90 deg, rel. 67
hkl 0 2 0, 31.06 deg, rel. 1000
hkl 0 0 6, 44.30 deg, rel. 105
hkl 1 2 3, 44.49 deg, rel. 483
hkl 2 0 0, 44.74 deg, rel. 125
hkl 1 1 6, 52.60 deg, rel. 47
hkl 0 2 6, 55.06 deg, rel. 118
hkl 2 2 0, 55.44 deg, rel. 132
hkl 0 4 0, 64.75 deg, rel. 108

Structural model:
Lattice parameters (Å, degrees): 4.0512 5.7642 12.2689 90.00 90.00 90.00
Space group Immm (No. 71)
One atom of each set of equivalent atoms:
Nd: 0.0000 0.0000 0.1724 (multiplicity 4)
Nb: 0.0000 0.0000 0.5000 (multiplicity 2)
Ge: 0.0000 0.5000 0.1437 (multiplicity 4)
Ge: 0.0000 0.5000 0.5000 (multiplicity 2)

=====

NbNi15Ge4: calculated powder diffraction line list (a wavelength of 1.5418 Å), based on a cell relaxed with PBE.
Peak positions follow from Bragg's law for the DFT cell and can differ from measured ones.

Most intense lines, 2θ from 5° to 70°, by angle:
hkl 1 0 0, 24.69 deg, rel. 6
hkl 1 1 5, 43.55 deg, rel. 1000
hkl 2 0 0, 50.63 deg, rel. 317
hkl 0 0 10, 50.94 deg, rel. 151

Structural model:
Lattice parameters (Å, degrees): 3.6061 3.6061 17.9258 90.00 90.00 90.00
Space group P4/mmm (No. 123)
One atom of each set of equivalent atoms:
Nb: 0.0000 0.0000 0.0000 (multiplicity 1)
Ni: 0.0000 0.5000 0.1030 (multiplicity 4)
Ni: 0.0000 0.5000 0.3017 (multiplicity 4)
Ni: 0.0000 0.5000 0.5000 (multiplicity 2)
Ni: 0.5000 0.5000 0.0000 (multiplicity 1)
Ni: 0.5000 0.5000 0.2023 (multiplicity 2)
Ni: 0.5000 0.5000 0.4006 (multiplicity 2)
Ge: 0.0000 0.0000 0.2054 (multiplicity 2)
Ge: 0.0000 0.0000 0.4017 (multiplicity 2)

=====

NbNi6Ge: calculated powder diffraction line list (a wavelength of 1.5418 Å), based on a cell relaxed with PBE.
Peak positions follow from Bragg's law for the DFT cell and can differ from measured ones.

Most intense lines, 2θ from 5° to 70°, by angle:
hkl 0 0 2, 17.40 deg, rel. 11
hkl 1 1 1, 22.56 deg, rel. 11
hkl 0 2 0, 24.96 deg, rel. 11
hkl 0 2 2, 30.59 deg, rel. 23
hkl 1 1 3, 33.70 deg, rel. 10
hkl 2 0 2, 38.08 deg, rel. 13
hkl 2 2 0, 42.31 deg, rel. 1000
hkl 0 2 4, 43.65 deg, rel. 905
hkl 2 0 4, 49.46 deg, rel. 617
hkl 0 4 0, 51.21 deg, rel. 278

Structural model:
Lattice parameters (Å, degrees): 5.3346 7.1352 10.1947 90.00 90.00 90.00
Space group Fmmm (No. 69)
One atom of each set of equivalent atoms:
Nb: 0.0000 0.0000 0.0000 (multiplicity 4)
Ni: 0.0000 0.0000 0.2533 (multiplicity 8)
Ni: 0.2500 0.2500 0.1293 (multiplicity 16)
Ge: 0.0000 0.0000 0.5000 (multiplicity 4)

=====

Pm2NbNi3Ge4: calculated powder diffraction line list (a wavelength of 1.5418 Å), based on a cell relaxed with PBE.
Peak positions follow from Bragg's law for the DFT cell and can differ from measured ones.

Most intense lines, 2θ from 5° to 70°, by angle:
hkl 1 1 0, 30.64 deg, rel. 125
hkl 1 0 3, 33.74 deg, rel. 504
hkl 1 1 2, 35.26 deg, rel. 1000
hkl 1 0 4, 40.99 deg, rel. 97
hkl 2 0 0, 43.88 deg, rel. 523
hkl 1 1 4, 46.77 deg, rel. 94
hkl 1 0 5, 49.00 deg, rel. 214
hkl 2 1 3, 56.47 deg, rel. 226
hkl 2 2 0, 63.79 deg, rel. 167
hkl 2 1 5, 67.86 deg, rel. 158

Structural model:
Lattice parameters (Å, degrees): 4.1266 4.1266 10.4126 90.00 90.00 90.00
Space group P-4m2 (No. 115)
One atom of each set of equivalent atoms:
Pm: 0.0000 0.5000 0.2320 (multiplicity 2)
Nb: 0.0000 0.0000 0.5000 (multiplicity 1)
Ni: 0.0000 0.5000 0.8818 (multiplicity 2)
Ni: 0.5000 0.5000 0.5000 (multiplicity 1)
Ge: 0.0000 0.0000 0.0000 (multiplicity 1)
Ge: 0.0000 0.5000 0.6512 (multiplicity 2)
Ge: 0.5000 0.5000 0.0000 (multiplicity 1)